(1)
Structure and theoretical powder X-ray diffraction pattern of NdY2Al3Si2Ir (the PBE geometry in OQMD; copper Kα).
No peak broadening, texture or thermal motion is included.

Structure:
a = 4.2460 Å, b = 7.0010 Å, c = 7.0010 Å
α = 120.21°, β = 90.00°, γ = 90.00°
Fractional positions:
Nd: 0.0000 0.0000 0.0000
Y: 0.0000 0.4161 0.8317
Y: 0.0000 0.8317 0.4161
Al: 0.5000 0.1875 0.4204
Al: 0.5000 0.4204 0.1875
Al: 0.5000 0.6472 0.6472
Si: 0.5000 0.0874 0.7469
Si: 0.5000 0.7469 0.0874
Ir: 0.0000 0.4246 0.4246

Principal peaks in the range 2θ from 10° to 90°, sorted by position:
- 2θ = 14.61°, I 31
- 2θ = 20.92°, I 44
- 2θ = 25.49°, I 21
- 2θ = 25.61°, I 16
- 2θ = 29.49°, I 52
- 2θ = 33.20°, I 40
- 2θ = 36.44°, I 100
- 2θ = 42.58°, I 22
- 2θ = 44.96°, I 29
- 2θ = 52.65°, I 21

***

(2)
Structure and theoretical powder X-ray diffraction pattern of NdSmAlIr2 (the PBE geometry in OQMD; copper Kα).
No peak broadening, texture or thermal motion is included.

Structure:
a = 4.1333 Å, b = 5.8834 Å, c = 8.8540 Å
α = 90.00°, β = 90.00°, γ = 90.00°
Fractional positions:
Nd: 0.0000 0.0000 0.0000
Nd: 0.5000 0.5000 0.5000
Sm: 0.0000 0.0000 0.6037
Sm: 0.5000 0.5000 0.1037
Al: 0.0000 0.5000 0.8021
Al: 0.5000 0.0000 0.3021
Ir: 0.0000 0.2578 0.3017
Ir: 0.0000 0.7422 0.3017
Ir: 0.5000 0.2422 0.8017
Ir: 0.5000 0.7578 0.8017

Principal peaks in the range 2θ from 10° to 90°, sorted by position:
- 2θ = 23.76°, I 47
- 2θ = 26.35°, I 35
- 2θ = 33.34°, I 48
- 2θ = 36.68°, I 81
- 2θ = 37.44°, I 80
- 2θ = 38.93°, I 100
- 2θ = 40.76°, I 21
- 2θ = 43.80°, I 35
- 2θ = 58.42°, I 43
- 2θ = 65.54°, I 43

***

(3)
Structure and theoretical powder X-ray diffraction pattern of NdTmAlIr2 (the PBE geometry in OQMD; copper Kα).
No peak broadening, texture or thermal motion is included.

Structure:
a = 4.1234 Å, b = 5.8498 Å, c = 8.6597 Å
α = 90.00°, β = 90.00°, γ = 90.00°
Fractional positions:
Nd: 0.0000 0.0000 0.0000
Nd: 0.5000 0.5000 0.5000
Tm: 0.0000 0.0000 0.6033
Tm: 0.5000 0.5000 0.1033
Al: 0.0000 0.5000 0.8022
Al: 0.5000 0.0000 0.3022
Ir: 0.0000 0.2583 0.3015
Ir: 0.0000 0.7417 0.3015
Ir: 0.5000 0.2417 0.8015
Ir: 0.5000 0.7583 0.8015

Principal peaks in the range 2θ from 10° to 90°, sorted by position:
- 2θ = 23.90°, I 44
- 2θ = 26.45°, I 39
- 2θ = 33.70°, I 52
- 2θ = 37.09°, I 82
- 2θ = 38.05°, I 79
- 2θ = 39.17°, I 100
- 2θ = 43.92°, I 37
- 2θ = 58.80°, I 44
- 2θ = 66.74°, I 43
- 2θ = 76.60°, I 21

***

(4)
Structure and theoretical powder X-ray diffraction pattern of Zr2Al2Ni2IrPt (the PBE geometry in OQMD; copper Kα).
No peak broadening, texture or thermal motion is included.

Structure:
a = 4.4559 Å, b = 4.4559 Å, c = 6.2955 Å
α = 90.00°, β = 90.00°, γ = 90.00°
Fractional positions:
Zr: 0.0000 0.5000 0.2482
Zr: 0.5000 0.0000 0.7518
Al: 0.0000 0.5000 0.7526
Al: 0.5000 0.0000 0.2474
Ni: 0.0000 0.0000 0.0000
Ni: 0.5000 0.5000 0.5000
Ir: 0.5000 0.5000 0.0000
Pt: 0.0000 0.0000 0.5000

Principal peaks in the range 2θ from 10° to 90°, sorted by position:
- 2θ = 24.47°, I 35
- 2θ = 28.33°, I 17
- 2θ = 40.50°, I 100
- 2θ = 47.89°, I 18
- 2θ = 58.62°, I 17
- 2θ = 64.47°, I 8
- 2θ = 66.36°, I 6
- 2θ = 73.67°, I 33
- 2θ = 78.97°, I 6
- 2θ = 87.62°, I 11

***

(5)
Structure and theoretical powder X-ray diffraction pattern of Zr3Al3NiIrPt (the PBE geometry in OQMD; copper Kα).
No peak broadening, texture or thermal motion is included.

Structure:
a = 7.1329 Å, b = 7.1329 Å, c = 3.5102 Å
α = 90.00°, β = 90.00°, γ = 120.00°
Fractional positions:
Zr: 0.0696 0.7287 0.0000
Zr: 0.2713 0.3409 0.0000
Zr: 0.6591 0.9304 0.0000
Al: 0.4193 0.0879 0.5000
Al: 0.6685 0.5807 0.5000
Al: 0.9121 0.3315 0.5000
Ni: 0.6667 0.3333 0.0000
Ir: 0.3333 0.6667 0.5000
Pt: 0.0000 0.0000 0.5000

Principal peaks in the range 2θ from 10° to 90°, sorted by position:
- 2θ = 14.34°, I 44
- 2θ = 24.97°, I 60
- 2θ = 29.26°, I 21
- 2θ = 35.90°, I 100
- 2θ = 38.56°, I 21
- 2θ = 38.84°, I 64
- 2θ = 43.97°, I 47
- 2θ = 46.73°, I 31
- 2θ = 70.50°, I 23
- 2θ = 71.84°, I 21

***

(6)
Structure and theoretical powder X-ray diffraction pattern of Y3Al3Ni2Ir (the PBE geometry in OQMD; copper Kα).
No peak broadening, texture or thermal motion is included.

Structure:
a = 7.0368 Å, b = 7.0368 Å, c = 3.9238 Å
α = 90.00°, β = 90.00°, γ = 120.00°
Fractional positions:
Y: 0.0000 0.4197 0.0000
Y: 0.4197 0.0000 0.0000
Y: 0.5803 0.5803 0.0000
Al: 0.0000 0.7589 0.5000
Al: 0.2411 0.2411 0.5000
Al: 0.7589 0.0000 0.5000
Ni: 0.3333 0.6667 0.5000
Ni: 0.6667 0.3333 0.5000
Ir: 0.0000 0.0000 0.0000

Principal peaks in the range 2θ from 10° to 90°, sorted by position:
- 2θ = 22.66°, I 17
- 2θ = 25.31°, I 30
- 2θ = 27.03°, I 26
- 2θ = 29.31°, I 35
- 2θ = 34.23°, I 28
- 2θ = 37.37°, I 100
- 2θ = 44.61°, I 24
- 2θ = 45.67°, I 34
- 2θ = 46.28°, I 19
- 2θ = 71.66°, I 22